(1)
For ScFe2W, a crystal structure in Alexandria, relaxed with GGA-PBE gives the theoretical powder XRD pattern in this record (Cu Kα (λ = 1.5418 Å)).

a = 2.963 Å, b = 4.309 Å, c = 9.056 Å
α = 90.00°, β = 90.00°, γ = 90.00°
Fractional coordinates of all 8 atoms:
Sc 0.000 0.000 0.000
Sc 0.500 0.500 0.500
Fe 0.000 0.000 0.507
Fe 0.000 0.500 0.234
Fe 0.500 0.000 0.734
Fe 0.500 0.500 0.007
W 0.000 0.500 0.773
W 0.500 0.000 0.273

Top 10 peaks for 2θ from 10° to 80°, sorted by position:
2θ (°)	intensity
19.61	26
22.86	34
31.77	14
36.34	13
39.82	26
41.93	26
42.04	100
59.20	16
73.81	14
76.68	16

***

(2)
For TlInSnAu, a crystal structure in Alexandria, relaxed with GGA-PBE gives the theoretical powder XRD pattern in this record (Cu Kα (λ = 1.5418 Å)).

a = 4.922 Å, b = 4.920 Å, c = 8.588 Å
α = 90.00°, β = 90.02°, γ = 90.00°
Fractional coordinates of all 8 atoms:
Tl 0.000 0.000 0.000
Tl 0.500 0.500 0.000
In 0.499 0.000 0.300
In 0.999 0.500 0.300
Sn 0.499 0.500 0.572
Sn 0.999 0.000 0.572
Au 0.000 0.500 0.759
Au 0.500 0.000 0.759

Top 10 peaks for 2θ from 10° to 80°, sorted by position:
2θ (°)	intensity
10.30	23
27.66	6
33.14	100
36.52	44
40.82	12
42.09	9
52.60	16
56.92	14
63.59	31
69.54	8

***

(3)
For LaPu2USb4, a crystal structure in Alexandria, relaxed with GGA-PBE gives the theoretical powder XRD pattern in this record (Cu Kα (λ = 1.5418 Å)).

a = 6.319 Å, b = 6.319 Å, c = 12.631 Å
α = 90.00°, β = 90.00°, γ = 90.00°
Fractional coordinates of all 16 atoms:
La 0.000 0.000 0.000
La 0.500 0.500 0.500
Pu 0.000 0.000 0.500
Pu 0.000 0.500 0.250
Pu 0.500 0.000 0.750
Pu 0.500 0.500 0.000
U 0.000 0.500 0.750
U 0.500 0.000 0.250
Sb 0.000 0.000 0.255
Sb 0.000 0.000 0.745
Sb 0.000 0.500 0.503
Sb 0.000 0.500 0.997
Sb 0.500 0.000 0.003
Sb 0.500 0.000 0.497
Sb 0.500 0.500 0.245
Sb 0.500 0.500 0.755

Top 10 peaks for 2θ from 10° to 80°, sorted by position:
2θ (°)	intensity
15.68	3
24.40	13
28.25	100
40.38	77
47.75	7
50.01	28
58.43	13
64.27	3
66.15	36
73.43	27